Calculated XRD peak list of Na8B13C3 for CuKα, from a structure optimized by DFT (GGA-PBE).
Lines closer than 0.1° are merged.

Structural model:
```
data_Na8B13C3
_cell_length_a 2.913
_cell_length_b 34.425
_cell_length_c 5.159
_cell_angle_alpha 90.00
_cell_angle_beta 90.00
_cell_angle_gamma 90.00
_symmetry_space_group_name_H-M 'I m m 2'
_symmetry_Int_Tables_number 44
loop_
_symmetry_equiv_pos_as_xyz
'x,y,z'
'-x,-y,z'
'-x,y,z'
'x,-y,z'
'x+1/2,y+1/2,z+1/2'
'-x+1/2,-y+1/2,z+1/2'
'-x+1/2,y+1/2,z+1/2'
'x+1/2,-y+1/2,z+1/2'
loop_
_atom_site_label
_atom_site_type_symbol
_atom_site_fract_x
_atom_site_fract_y
_atom_site_fract_z
_atom_site_occupancy
Na1 Na 0.000 0.063 0.000 1
Na2 Na 0.000 0.189 0.002 1
Na3 Na 0.000 0.311 0.000 1
Na4 Na 0.000 0.437 0.001 1
B1 B 0.000 0.000 0.639 1
B2 B 0.000 0.125 0.336 1
B3 B 0.000 0.127 0.665 1
B4 B 0.000 0.250 0.671 1
B5 B 0.000 0.373 0.335 1
B6 B 0.000 0.375 0.665 1
B7 B 0.000 0.500 0.344 1
B8 B 0.000 0.500 0.679 1
C1 C 0.000 0.000 0.336 1
C2 C 0.000 0.250 0.336 1
```

Peak list (10 most intense, 5° ≤ 2θ ≤ 70°, in order of falling intensity)
two_theta	Rel. int.
41.3	100
40.8	50
42.0	36
35.4	18
62.7	18
34.8	11
56.0	10
63.9	9
55.6	6
20.6	2